# Na2TaZnP3O12
Simulated XRD peak list, copper Kα. Input: a cell relaxed with GGA-PBE.
Peak positions follow from Bragg's law for the DFT cell and can differ from measured ones.

Crystal structure
```
Na2TaZnP3O12
1.0
7.7041 -4.4157 0.0000
7.7041 4.4157 0.0000
-5.1059 0.0000 7.4818
Na Ta Zn P O
4 2 2 6 24
Direct
0.0115 0.5081 0.2641 Na
0.1130 0.8870 0.5000 Na
0.5081 0.0115 0.7641 Na
0.8870 0.1130 0.0000 Na
0.3629 0.8549 0.3015 Ta
0.8549 0.3629 0.8015 Ta
0.1529 0.6455 0.6888 Zn
0.6455 0.1529 0.1888 Zn
0.0399 0.2554 0.4814 P
0.2554 0.0399 0.9814 P
0.4585 0.5404 0.4833 P
0.5404 0.4585 0.9833 P
0.7535 0.9625 0.4890 P
0.9625 0.7535 0.9890 P
0.0040 0.2746 0.6494 O
0.0717 0.2206 0.9719 O
0.0773 0.4162 0.5090 O
0.1382 0.7786 0.1627 O
0.2163 0.8841 0.8127 O
0.2206 0.0717 0.4719 O
0.2746 0.0040 0.1494 O
0.2811 0.5872 0.5090 O
0.3804 0.4879 0.8210 O
0.4162 0.0773 0.0090 O
0.4416 0.7236 0.4715 O
0.4879 0.3804 0.3210 O
0.5088 0.6360 0.1555 O
0.5740 0.9445 0.4693 O
0.5872 0.2811 0.0090 O
0.6360 0.5088 0.6555 O
0.7236 0.4416 0.9715 O
0.7316 0.9910 0.3283 O
0.7786 0.1382 0.6627 O
0.7886 0.9187 0.0134 O
0.8841 0.2163 0.3127 O
0.9187 0.7886 0.5134 O
0.9445 0.5740 0.9693 O
0.9910 0.7316 0.8283 O
```

Main lines, by angle (5° ≤ 2θ ≤ 70°):
2θ/deg	Rel. int.
14.0	81.2
19.6	100.0
20.0	68.8
20.1	39.1
28.2	38.7
31.3	70.6